Ba6ZrMo2: simulated PXRD pattern (λ = 1.5418 Å (Cu Kα)), based on a cell relaxed with GGA-PBE.
Kinematic intensities with the Lorentz-polarization factor, no thermal factor.

Largest 12 diffraction maxima, by angle, 2θ = 15–90°:
2θ/deg	I (rel.)
25.67	78.0
29.73	100.0
33.33	34.0
42.54	73.1
45.24	10.5
50.28	11.0
50.39	24.4
52.76	25.4
67.99	14.0
69.90	9.8
70.06	22.2
77.90	16.3

Atomic structure:
a b c (Å): 6.0046 6.0046 12.0444
angles (deg): 90.00 90.00 90.00
Fractional coordinates of all 9 atoms:
Ba: 0.0000 0.0000 0.0000
Ba: 0.0000 0.0000 0.5000
Ba: 0.0000 0.5000 0.2393
Ba: 0.0000 0.5000 0.7607
Ba: 0.5000 0.0000 0.2393
Ba: 0.5000 0.0000 0.7607
Zr: 0.5000 0.5000 0.0000
Mo: 0.0000 0.0000 0.2486
Mo: 0.0000 0.0000 0.7514


Y2Lu4Si3N3: simulated PXRD pattern (λ = 1.5418 Å (Cu Kα)), based on a cell relaxed with GGA-PBE.
Kinematic intensities with the Lorentz-polarization factor, no thermal factor.

Largest 12 diffraction maxima, by angle, 2θ = 15–90°:
2θ/deg	I (rel.)
25.63	40.6
29.88	42.6
30.58	57.0
30.79	32.3
35.70	100.0
35.76	99.6
35.92	89.2
38.87	42.5
49.88	25.0
53.31	41.4
55.64	25.3
67.90	29.4

Atomic structure:
a b c (Å): 5.9811 5.9811 14.3341
angles (deg): 102.20 102.20 59.54
Fractional coordinates of all 24 atoms:
Y: 0.0374 0.8695 0.6052
Y: 0.1305 0.9626 0.8948
Y: 0.8695 0.0374 0.1052
Y: 0.9626 0.1305 0.3948
Lu: 0.1955 0.3552 0.0907
Lu: 0.3008 0.4677 0.4098
Lu: 0.3552 0.1955 0.5907
Lu: 0.4677 0.3008 0.9098
Lu: 0.5323 0.6992 0.0902
Lu: 0.6448 0.8046 0.4093
Lu: 0.6992 0.5323 0.5902
Lu: 0.8046 0.6448 0.9093
Si: 0.0532 0.2937 0.7507
Si: 0.2937 0.0532 0.2507
Si: 0.4416 0.5584 0.2500
Si: 0.5584 0.4416 0.7500
Si: 0.7063 0.9468 0.7493
Si: 0.9468 0.7063 0.2493
N: 0.0000 0.5000 0.5000
N: 0.1677 0.6627 0.9990
N: 0.3373 0.8323 0.5010
N: 0.5000 0.0000 0.0000
N: 0.6627 0.1677 0.4990
N: 0.8323 0.3373 0.0010